# 1
Diffraction record for PrTm2Ag6. The powder diffraction line list is calculated, not measured: it uses DFT lattice parameters and positions (GGA-PBE) and Cu Kα.
Neutral-atom scattering factors, no anomalous dispersion.

Main lines, most intense first (2θ = 10–90°):
| two_theta | Rel. int. |
| --- | --- |
| 37.35 | 100 |
| 32.72 | 72 |
| 42.03 | 71 |
| 34.76 | 61 |
| 34.64 | 61 |
| 54.26 | 32 |
| 61.47 | 22 |
| 63.01 | 20 |
| 69.75 | 15 |
| 60.69 | 12 |

a b c (Å): 8.946 8.946 5.311
angles (deg): 98.23 98.23 75.46
Fractional coordinates of all 18 atoms:
1 Pr 0.125 0.875 0.750
2 Pr 0.875 0.125 0.250
3 Tm 0.211 0.457 0.911
4 Tm 0.457 0.211 0.411
5 Tm 0.543 0.789 0.589
6 Tm 0.789 0.543 0.089
7 Ag 0.015 0.745 0.193
8 Ag 0.102 0.357 0.356
9 Ag 0.255 0.985 0.307
10 Ag 0.327 0.564 0.467
11 Ag 0.357 0.102 0.856
12 Ag 0.436 0.673 0.033
13 Ag 0.564 0.327 0.967
14 Ag 0.643 0.898 0.144
15 Ag 0.673 0.436 0.533
16 Ag 0.745 0.015 0.693
17 Ag 0.898 0.643 0.644
18 Ag 0.985 0.255 0.807

***

# 2
Diffraction record for PrTmAg4. The powder diffraction line list is calculated, not measured: it uses DFT lattice parameters and positions (GGA-PBE) and Cu Kα.
Neutral-atom scattering factors, no anomalous dispersion.

Main lines, most intense first (2θ = 10–90°):
| two_theta | Rel. int. |
| --- | --- |
| 37.19 | 100 |
| 33.53 | 67 |
| 62.37 | 42 |
| 48.15 | 24 |
| 69.34 | 15 |
| 80.33 | 10 |
| 79.26 | 10 |
| 82.48 | 10 |
| 58.72 | 6 |
| 25.39 | 4 |

a b c (Å): 5.350 9.434 5.341
angles (deg): 90.00 90.00 90.00
Fractional coordinates of all 12 atoms:
1 Pr 0.000 0.000 0.000
2 Pr 0.500 0.500 0.000
3 Tm 0.000 0.500 0.500
4 Tm 0.500 0.000 0.500
5 Ag 0.000 0.177 0.500
6 Ag 0.000 0.332 0.000
7 Ag 0.000 0.668 0.000
8 Ag 0.000 0.823 0.500
9 Ag 0.500 0.168 0.000
10 Ag 0.500 0.323 0.500
11 Ag 0.500 0.677 0.500
12 Ag 0.500 0.832 0.000

***

# 3
Diffraction record for PrYTmAg. The powder diffraction line list is calculated, not measured: it uses DFT lattice parameters and positions (GGA-PBE) and Cu Kα.
Neutral-atom scattering factors, no anomalous dispersion.

Main lines, most intense first (2θ = 10–90°):
| two_theta | Rel. int. |
| --- | --- |
| 32.02 | 100 |
| 35.06 | 46 |
| 61.00 | 31 |
| 50.43 | 16 |
| 10.05 | 14 |
| 55.05 | 12 |
| 26.63 | 10 |
| 39.55 | 8 |
| 47.13 | 8 |
| 41.03 | 7 |

a b c (Å): 3.619 3.619 8.800
angles (deg): 90.00 90.00 90.00
Fractional coordinates of all 4 atoms:
1 Pr 0.000 0.000 0.000
2 Y 0.500 0.500 0.701
3 Tm 0.500 0.500 0.292
4 Ag 0.000 0.000 0.487

***

# 4
Diffraction record for Pr5YAg4. The powder diffraction line list is calculated, not measured: it uses DFT lattice parameters and positions (GGA-PBE) and Cu Kα.
Neutral-atom scattering factors, no anomalous dispersion.

Main lines, most intense first (2θ = 10–90°):
| two_theta | Rel. int. |
| --- | --- |
| 32.48 | 100 |
| 33.81 | 54 |
| 59.65 | 34 |
| 48.57 | 19 |
| 35.71 | 14 |
| 57.08 | 10 |
| 61.11 | 9 |
| 81.12 | 8 |
| 80.38 | 7 |
| 79.65 | 6 |

a b c (Å): 3.749 3.749 20.336
angles (deg): 90.00 90.00 90.00
Fractional coordinates of all 10 atoms:
1 Pr 0.000 0.000 0.000
2 Pr 0.000 0.000 0.189
3 Pr 0.000 0.000 0.377
4 Pr 0.000 0.000 0.623
5 Pr 0.000 0.000 0.811
6 Y 0.500 0.500 0.500
7 Ag 0.500 0.500 0.095
8 Ag 0.500 0.500 0.284
9 Ag 0.500 0.500 0.716
10 Ag 0.500 0.500 0.905

***

Copy entry 1 word for word.
Diffraction record for PrTm2Ag6. The powder diffraction line list is calculated, not measured: it uses DFT lattice parameters and positions (GGA-PBE) and Cu Kα.
Neutral-atom scattering factors, no anomalous dispersion.

Main lines, most intense first (2θ = 10–90°):
| two_theta | Rel. int. |
| --- | --- |
| 37.35 | 100 |
| 32.72 | 72 |
| 42.03 | 71 |
| 34.76 | 61 |
| 34.64 | 61 |
| 54.26 | 32 |
| 61.47 | 22 |
| 63.01 | 20 |
| 69.75 | 15 |
| 60.69 | 12 |

a b c (Å): 8.946 8.946 5.311
angles (deg): 98.23 98.23 75.46
Fractional coordinates of all 18 atoms:
1 Pr 0.125 0.875 0.750
2 Pr 0.875 0.125 0.250
3 Tm 0.211 0.457 0.911
4 Tm 0.457 0.211 0.411
5 Tm 0.543 0.789 0.589
6 Tm 0.789 0.543 0.089
7 Ag 0.015 0.745 0.193
8 Ag 0.102 0.357 0.356
9 Ag 0.255 0.985 0.307
10 Ag 0.327 0.564 0.467
11 Ag 0.357 0.102 0.856
12 Ag 0.436 0.673 0.033
13 Ag 0.564 0.327 0.967
14 Ag 0.643 0.898 0.144
15 Ag 0.673 0.436 0.533
16 Ag 0.745 0.015 0.693
17 Ag 0.898 0.643 0.644
18 Ag 0.985 0.255 0.807